1.
Simulated powder X-ray diffraction pattern of HoBe9Co2 for Cu Kα (λ = 1.5418 Å), from DFT lattice parameters and positions (PBE).
Neutral-atom scattering factors, no anomalous dispersion.

Main lines, by angle (10 to 90 degrees two-theta):
hkl  d [Å]  I_rel
1 0 1  3.726  100
0 1 2  3.561  31
0 0 6  3.492  31
0 1 5  2.810  19
1 0 7  2.348  50
1 1 0  2.186  44
0 1 8  2.154  28
0 2 1  1.886  21
1 1 6  1.853  45
2 1 7  1.291  14

Atomic structure:
Unit cell a=4.3723 b=4.3723 c=20.9531 alpha=90.00 beta=90.00 gamma=120.00
Space group R-3m (No. 166, hexagonal axes)
Unique sites:
Ho1 0.0000 0.0000 0.0000
Be1 0.0000 0.0000 0.3326
Be2 0.0000 0.0000 0.5000
Be3 0.0071 0.5036 0.9095
Co1 0.0000 0.0000 0.1436



2.
Simulated powder X-ray diffraction pattern of Li2LaAg9 for Cu Kα (λ = 1.5418 Å), from DFT lattice parameters and positions (PBE).
Neutral-atom scattering factors, no anomalous dispersion.

Main lines, by angle (10 to 90 degrees two-theta):
hkl  d [Å]  I_rel
3 0 1  3.328  20
2 0 2  3.072  16
3 1 2  2.549  100
4 2 0  2.502  61
1 0 3  2.394  19
4 0 2  2.226  17
5 0 1  2.141  56
5 4 1  1.700  21
5 5 2  1.453  24
5 3 4  1.327  14

Atomic structure:
Unit cell a=11.1897 b=11.1897 c=7.3514 alpha=90.00 beta=90.00 gamma=90.00
Space group I4_1/amd (No. 141, origin choice 2)
Unique sites:
Li1 0.0000 0.0000 0.0000
La1 0.0000 0.2500 0.3750
Ag1 0.0000 0.2500 0.8750
Ag2 0.1226 0.0495 0.6825



3.
Simulated powder X-ray diffraction pattern of Pa2SiPd3 for Cu Kα (λ = 1.5418 Å), from DFT lattice parameters and positions (PBE).
Neutral-atom scattering factors, no anomalous dispersion.

Main lines, by angle (10 to 90 degrees two-theta):
hkl  d [Å]  I_rel
0 0 4  3.936  16
0 2 2  3.908  31
2 0 4  2.498  50
2 2 2  2.490  100
0 2 6  2.267  64
0 4 0  2.251  31
2 0 8  1.681  15
2 4 4  1.672  29
4 2 6  1.316  20
0 0 12  1.312  15

Atomic structure:
Unit cell a=6.4631 b=9.0031 c=15.7449 alpha=90.00 beta=90.00 gamma=90.00
Space group Fmmm (No. 69)
Unique sites:
Pa1 0.2256 0.0000 0.0000
Pa2 0.2500 0.2500 0.2500
Si1 0.0000 0.0000 0.3350
Pd1 0.0000 0.0000 0.1741
Pd2 0.0000 0.2346 0.4136



4.
Simulated powder X-ray diffraction pattern of MgP2Pd8 for Cu Kα (λ = 1.5418 Å), from DFT lattice parameters and positions (PBE).
Neutral-atom scattering factors, no anomalous dispersion.

Main lines, by angle (10 to 90 degrees two-theta):
hkl  d [Å]  I_rel
2 2 -1  2.728  43
1 3 -1  2.714  31
2 0 1  2.448  84
1 3 1  2.430  22
3 1 -1  2.297  65
0 4 1  2.273  100
1 1 -2  2.157  46
2 4 0  2.148  57
3 3 0  1.983  55
2 4 2  1.408  25

Atomic structure:
Unit cell a=7.3953 b=10.7457 c=4.4080 alpha=90.00 beta=104.80 gamma=90.00
Space group C2/m (No. 12)
Unique sites:
Mg1 0.0000 0.0000 0.0000
P1 0.0000 0.3218 0.5000
Pd1 0.0000 0.2490 0.0000
Pd2 0.1183 0.5000 0.8103
Pd3 0.1945 0.1300 0.5881



5.
Simulated powder X-ray diffraction pattern of LaTm2Hg8 for Cu Kα (λ = 1.5418 Å), from DFT lattice parameters and positions (PBE).
Neutral-atom scattering factors, no anomalous dispersion.

Main lines, by angle (10 to 90 degrees two-theta):
hkl  d [Å]  I_rel
1 1 4  2.789  12
2 0 0  2.562  100
0 0 6  2.483  18
0 3 1  2.420  6
2 0 6  1.784  14
0 3 7  1.607  5
2 4 0  1.495  5
3 2 3  1.480  14
1 2 9  1.448  9
2 3 7  1.362  5

Atomic structure:
Unit cell a=5.1307 b=7.3574 c=14.8950 alpha=90.00 beta=90.00 gamma=90.00
Space group Immm (No. 71)
Unique sites:
La1 0.0000 0.0000 0.0000
Tm1 0.0000 0.0000 0.3126
Hg1 0.0000 0.2026 0.5000
Hg2 0.0000 0.2859 0.1579
Hg3 0.0000 0.5000 0.3445



6.
Simulated powder X-ray diffraction pattern of SrTl3Re2O9 for Cu Kα (λ = 1.5418 Å), from DFT lattice parameters and positions (PBE).
Neutral-atom scattering factors, no anomalous dispersion.

Main lines, by angle (10 to 90 degrees two-theta):
hkl  d [Å]  I_rel
0 1 2  3.059  100
1 1 0  2.954  94
2 0 2  2.125  49
1 0 4  1.788  19
1 2 2  1.725  38
3 0 0  1.705  19
0 2 4  1.530  14
2 2 0  1.477  16
2 1 4  1.358  17
3 1 2  1.330  17

Atomic structure:
Unit cell a=5.9073 b=5.9073 c=7.6339 alpha=90.00 beta=90.00 gamma=120.00
Space group P-3m1 (No. 164)
Unique sites:
Sr1 0.0000 0.0000 0.0000
Tl1 0.0000 0.0000 0.5000
Tl2 0.3333 0.6667 0.1937
Re1 0.3333 0.6667 0.6553
O1 0.0000 0.5000 0.5000
O2 0.1830 0.3660 0.7855



7.
Simulated powder X-ray diffraction pattern of MoI2 for Cu Kα (λ = 1.5418 Å), from DFT lattice parameters and positions (PBE).
Neutral-atom scattering factors, no anomalous dispersion.

Main lines, by angle (10 to 90 degrees two-theta):
hkl  d [Å]  I_rel
2 0 0  8.519  44
1 1 1  8.000  100
0 2 0  6.407  20
4 2 1  3.419  15
0 4 1  3.106  29
2 4 0  2.999  16
0 2 4  2.865  15
4 2 3  2.728  16
8 0 0  2.129  17
5 5 1  2.024  21

Atomic structure:
Unit cell a=17.0385 b=12.8200 c=12.8092 alpha=90.00 beta=90.00 gamma=90.00
Space group Cmce (No. 64)
Unique sites:
Mo1 0.0000 0.0681 0.1317
Mo2 0.0000 0.1316 0.9319
Mo3 0.1118 0.0000 0.0000
I1 0.0000 0.1574 0.3428
I2 0.1158 0.0665 0.7917
I3 0.1159 0.2080 0.0665
I4 0.2213 0.0000 0.5000



8.
Simulated powder X-ray diffraction pattern of Sm2Th2Hg7 for Cu Kα (λ = 1.5418 Å), from DFT lattice parameters and positions (PBE).
Neutral-atom scattering factors, no anomalous dispersion.

Main lines, by angle (10 to 90 degrees two-theta):
hkl  d [Å]  I_rel
2 0 1  3.770  58
2 2 0  3.454  42
1 1 2  3.139  41
0 4 0  2.729  65
3 1 1  2.658  25
2 2 2  2.467  100
1 3 2  2.435  42
4 0 0  2.231  25
3 3 1  2.189  30
2 2 3  1.942  29

Atomic structure:
Unit cell a=8.9235 b=10.9158 c=7.0473 alpha=90.00 beta=90.00 gamma=90.00
Space group Cmmm (No. 65)
Unique sites:
Sm1 0.0000 0.2093 0.0000
Th1 0.1831 0.5000 0.5000
Hg1 0.0000 0.0000 0.2875
Hg2 0.0000 0.5000 0.0000
Hg3 0.2500 0.2500 0.2870



9.
Simulated powder X-ray diffraction pattern of Ba2Cd3Ag4 for Cu Kα (λ = 1.5418 Å), from DFT lattice parameters and positions (PBE).
Neutral-atom scattering factors, no anomalous dispersion.

Main lines, by angle (10 to 90 degrees two-theta):
hkl  d [Å]  I_rel
1 1 3  3.609  15
1 3 1  3.017  15
2 0 0  2.897  20
0 4 0  2.724  20
2 0 2  2.709  16
1 3 3  2.634  100
0 0 6  2.547  38
2 2 2  2.426  26
2 0 4  2.308  23
3 3 3  1.617  24

Atomic structure:
Unit cell a=5.7946 b=10.8956 c=15.2792 alpha=90.00 beta=90.00 gamma=90.00
Space group Fmmm (No. 69)
Unique sites:
Ba1 0.0000 0.0000 0.1468
Cd1 0.0000 0.0000 0.5000
Cd2 0.2500 0.2500 0.0000
Ag1 0.0000 0.1913 0.3333



10.
Simulated powder X-ray diffraction pattern of LaPr5N5 for Cu Kα (λ = 1.5418 Å), from DFT lattice parameters and positions (PBE).
Neutral-atom scattering factors, no anomalous dispersion.

Main lines, by angle (10 to 90 degrees two-theta):
hkl  d [Å]  I_rel
3 1 0  3.027  100
0 2 0  2.628  24
2 0 2  2.618  47
2 2 2  1.854  41
6 0 0  1.850  8
3 3 0  1.584  15
5 1 2  1.580  22
2 2 -4  1.513  16
1 3 4  1.203  12
4 2 4  1.172  10

Atomic structure:
Unit cell a=11.6952 b=5.2560 c=7.4102 alpha=90.00 beta=108.40 gamma=90.00
Space group C2/m (No. 12)
Unique sites:
La1 0.0000 0.0000 0.0000
Pr1 0.0000 0.0000 0.5000
Pr2 0.1712 0.5000 0.8463
Pr3 0.1746 0.5000 0.3295
N1 0.0000 0.5000 0.0000
N2 0.1656 0.0000 0.3386
N3 0.1723 0.0000 0.8336



11.
Simulated powder X-ray diffraction pattern of Hf5BSb3 for Cu Kα (λ = 1.5418 Å), from DFT lattice parameters and positions (PBE).
Neutral-atom scattering factors, no anomalous dispersion.

Main lines, by angle (10 to 90 degrees two-theta):
hkl  d [Å]  I_rel
2 1 0  2.763  37
1 0 2  2.663  20
2 1 1  2.488  100
3 0 0  2.436  30
1 1 2  2.367  63
2 2 2  1.698  18
4 1 0  1.595  14
2 1 3  1.569  24
4 0 2  1.540  14
5 0 2  1.302  18

Atomic structure:
Unit cell a=8.4402 b=8.4402 c=5.7185 alpha=90.00 beta=90.00 gamma=120.00
Space group P6_3/mcm (No. 193)
Unique sites:
Hf1 0.0000 0.2319 0.2500
Hf2 0.3333 0.6667 0.0000
B1 0.0000 0.0000 0.0000
Sb1 0.0000 0.4002 0.7500



12.
Simulated powder X-ray diffraction pattern of Pr2Be4GaPt3 for Cu Kα (λ = 1.5418 Å), from DFT lattice parameters and positions (PBE).
Neutral-atom scattering factors, no anomalous dispersion.

Main lines, by angle (10 to 90 degrees two-theta):
hkl  d [Å]  I_rel
0 0 3  3.293  28
1 0 2  3.144  66
1 1 0  2.883  29
1 1 1  2.767  93
1 0 3  2.561  100
1 1 2  2.490  66
2 0 0  2.038  62
1 0 5  1.778  22
2 1 2  1.710  24
2 1 3  1.595  48

Atomic structure:
Unit cell a=4.0768 b=4.0768 c=9.8776 alpha=90.00 beta=90.00 gamma=90.00
Space group P-4m2 (No. 115)
Unique sites:
Pr1 0.0000 0.5000 0.2486
Be1 0.0000 0.0000 0.0000
Be2 0.0000 0.5000 0.6337
Be3 0.5000 0.5000 0.0000
Ga1 0.0000 0.0000 0.5000
Pt1 0.0000 0.5000 0.8840
Pt2 0.5000 0.5000 0.5000